Record 1
The following is a computed powder X-ray diffraction pattern of Pr3Tl4Hg2. It was derived from a DFT-relaxed cell (GGA-PBE, Alexandria), using a wavelength of 1.5418 Å.

Top 8 peaks for 2θ = 5–70°, in order of rising 2θ:
| 2θ (°) | I (rel.) |
| --- | --- |
| 29.52 | 100 |
| 32.16 | 95 |
| 33.44 | 40 |
| 38.08 | 59 |
| 39.14 | 51 |
| 40.13 | 34 |
| 56.52 | 43 |
| 60.54 | 43 |

Cell: 8.1857 8.1857 4.4942 Å, 90.00 90.00 120.00°
Space group P-62m (No. 189)
Inequivalent atoms, fractional coordinates:
Pr1 0.0000 0.4003 0.0000
Tl1 0.0000 0.0000 0.0000
Tl2 0.0000 0.7333 0.5000
Hg1 0.3333 0.6667 0.5000


Record 2
The following is a computed powder X-ray diffraction pattern of Pr2Tl2Hg3. It was derived from a DFT-relaxed cell (GGA-PBE, Alexandria), using a wavelength of 1.5418 Å.

Top 8 peaks for 2θ = 5–70°, in order of rising 2θ:
| 2θ (°) | I (rel.) |
| --- | --- |
| 30.00 | 100 |
| 32.94 | 81 |
| 35.66 | 91 |
| 38.22 | 46 |
| 40.64 | 23 |
| 49.33 | 43 |
| 55.16 | 34 |
| 65.76 | 54 |

Cell: 9.419 9.419 9.419 Å, 90.00 90.00 90.00°
Space group I2_13 (No. 199)
Inequivalent atoms, fractional coordinates:
Pr1 0.238 0.238 0.238
Tl1 0.067 0.433 0.567
Hg1 0.000 0.250 0.987


Record 3
The following is a computed powder X-ray diffraction pattern of Pr4Tl3Hg. It was derived from a DFT-relaxed cell (GGA-PBE, Alexandria), using a wavelength of 1.5418 Å.

Top 8 peaks for 2θ = 5–70°, in order of rising 2θ:
| 2θ (°) | I (rel.) |
| --- | --- |
| 28.49 | 100 |
| 29.75 | 30 |
| 35.44 | 29 |
| 35.61 | 89 |
| 38.18 | 30 |
| 40.30 | 26 |
| 54.74 | 17 |
| 56.72 | 19 |

Cell: 4.475 4.714 12.012 Å, 90.00 90.00 90.00°
Space group Pmm2 (No. 25)
Inequivalent atoms, fractional coordinates:
Pr1 0.000 0.000 0.000
Pr2 0.000 0.500 0.273
Pr3 0.500 0.000 0.491
Pr4 0.500 0.500 0.775
Tl1 0.000 0.000 0.722
Tl2 0.000 0.500 0.548
Tl3 0.500 0.500 0.049
Hg1 0.500 0.000 0.222


Record 4
The following is a computed powder X-ray diffraction pattern of PrTlZnHg. It was derived from a DFT-relaxed cell (GGA-PBE, Alexandria), using a wavelength of 1.5418 Å.

Top 8 peaks for 2θ = 5–70°, in order of rising 2θ:
| 2θ (°) | I (rel.) |
| --- | --- |
| 20.86 | 12 |
| 24.13 | 2 |
| 34.39 | 100 |
| 40.56 | 7 |
| 49.42 | 18 |
| 54.20 | 3 |
| 61.59 | 37 |
| 65.78 | 2 |

Cell: 7.377 7.377 7.377 Å, 90.00 90.00 90.00°
Space group F-43m (No. 216)
Inequivalent atoms, fractional coordinates:
Pr1 0.000 0.000 0.000
Tl1 0.000 0.000 0.500
Zn1 0.250 0.250 0.250
Hg1 0.250 0.250 0.750


Record 5
The following is a computed powder X-ray diffraction pattern of Pr3TmHg5. It was derived from a DFT-relaxed cell (GGA-PBE, Alexandria), using a wavelength of 1.5418 Å.

Top 8 peaks for 2θ = 5–70°, in order of rising 2θ:
| 2θ (°) | I (rel.) |
| --- | --- |
| 32.26 | 27 |
| 32.98 | 100 |
| 33.31 | 87 |
| 47.58 | 31 |
| 54.92 | 9 |
| 59.32 | 25 |
| 59.53 | 10 |
| 65.77 | 25 |

Cell: 9.3174 9.3174 6.6868 Å, 90.00 90.00 120.00°
Space group P6_3/mcm (No. 193)
Inequivalent atoms, fractional coordinates:
Pr1 0.0000 0.3724 0.2500
Tm1 0.0000 0.0000 0.0000
Hg1 0.0000 0.2904 0.7500
Hg2 0.3333 0.6667 0.0000


Record 6
The following is a computed powder X-ray diffraction pattern of Pr4Tm5Hg. It was derived from a DFT-relaxed cell (GGA-PBE, Alexandria), using a wavelength of 1.5418 Å.

Top 8 peaks for 2θ = 5–70°, in order of rising 2θ:
| 2θ (°) | I (rel.) |
| --- | --- |
| 30.95 | 100 |
| 35.07 | 42 |
| 37.46 | 9 |
| 50.44 | 15 |
| 52.25 | 15 |
| 59.67 | 8 |
| 60.36 | 30 |
| 64.49 | 8 |

Cell: 3.618 3.618 24.007 Å, 90.00 90.00 90.00°
Space group P4/mmm (No. 123)
Inequivalent atoms, fractional coordinates:
Pr1 0.000 0.000 0.104
Pr2 0.000 0.000 0.315
Tm1 0.500 0.500 0.000
Tm2 0.500 0.500 0.210
Tm3 0.500 0.500 0.420
Hg1 0.000 0.000 0.500


Record 7
The following is a computed powder X-ray diffraction pattern of Pr2Tm6Hg. It was derived from a DFT-relaxed cell (GGA-PBE, Alexandria), using a wavelength of 1.5418 Å.

Top 8 peaks for 2θ = 5–70°, in order of rising 2θ:
| 2θ (°) | I (rel.) |
| --- | --- |
| 30.97 | 18 |
| 32.15 | 19 |
| 32.30 | 100 |
| 32.88 | 36 |
| 46.65 | 13 |
| 57.35 | 10 |
| 57.50 | 13 |
| 58.34 | 19 |

Cell: 9.673 10.216 5.448 Å, 90.00 90.00 90.00°
Space group Pnnm (No. 58)
Inequivalent atoms, fractional coordinates:
Pr1 0.190 0.249 0.000
Tm1 0.017 0.321 0.500
Tm2 0.139 0.898 0.000
Tm3 0.181 0.574 0.000
Hg1 0.000 0.000 0.500


Record 8
The following is a computed powder X-ray diffraction pattern of Pr2TmHg. It was derived from a DFT-relaxed cell (GGA-PBE, Alexandria), using a wavelength of 1.5418 Å.

Top 8 peaks for 2θ = 5–70°, in order of rising 2θ:
| 2θ (°) | I (rel.) |
| --- | --- |
| 9.90 | 13 |
| 31.35 | 100 |
| 34.19 | 43 |
| 40.39 | 10 |
| 49.13 | 16 |
| 53.93 | 17 |
| 59.45 | 33 |
| 65.42 | 9 |

Cell: 5.245 5.245 8.932 Å, 90.00 90.00 90.00°
Space group P4/nmm (No. 129, origin choice 2)
Inequivalent atoms, fractional coordinates:
Pr1 0.250 0.250 0.220
Pr2 0.250 0.750 0.500
Tm1 0.250 0.250 0.787
Hg1 0.250 0.750 0.000


Record 9
The following is a computed powder X-ray diffraction pattern of PrTmHg. It was derived from a DFT-relaxed cell (GGA-PBE, Alexandria), using a wavelength of 1.5418 Å.

Top 8 peaks for 2θ = 5–70°, in order of rising 2θ:
| 2θ (°) | I (rel.) |
| --- | --- |
| 28.72 | 55 |
| 30.58 | 21 |
| 31.11 | 100 |
| 34.08 | 77 |
| 35.51 | 62 |
| 41.85 | 22 |
| 57.10 | 22 |
| 65.28 | 26 |

Cell: 7.550 5.056 9.242 Å, 90.00 90.00 90.00°
Space group Pnma (No. 62)
Inequivalent atoms, fractional coordinates:
Pr1 0.016 0.250 0.185
Tm1 0.157 0.250 0.573
Hg1 0.241 0.750 0.393


Record 10
The following is a computed powder X-ray diffraction pattern of Pr12Y3Hg. It was derived from a DFT-relaxed cell (GGA-PBE, Alexandria), using a wavelength of 1.5418 Å.

Top 8 peaks for 2θ = 5–70°, in order of rising 2θ:
| 2θ (°) | I (rel.) |
| --- | --- |
| 30.04 | 100 |
| 34.47 | 17 |
| 35.01 | 33 |
| 49.95 | 24 |
| 50.34 | 12 |
| 59.04 | 14 |
| 59.75 | 28 |
| 62.44 | 12 |

Cell: 5.127 5.127 20.815 Å, 90.00 90.00 90.00°
Space group P4/mmm (No. 123)
Inequivalent atoms, fractional coordinates:
Pr1 0.000 0.000 0.000
Pr2 0.000 0.000 0.246
Pr3 0.000 0.000 0.500
Pr4 0.000 0.500 0.121
Pr5 0.000 0.500 0.373
Y1 0.500 0.500 0.247
Y2 0.500 0.500 0.500
Hg1 0.500 0.500 0.000


Record 11
The following is a computed powder X-ray diffraction pattern of PrYHg5. It was derived from a DFT-relaxed cell (GGA-PBE, Alexandria), using a wavelength of 1.5418 Å.

Top 8 peaks for 2θ = 5–70°, in order of rising 2θ:
| 2θ (°) | I (rel.) |
| --- | --- |
| 17.18 | 20 |
| 33.08 | 100 |
| 34.75 | 88 |
| 38.12 | 68 |
| 41.77 | 27 |
| 52.70 | 15 |
| 57.83 | 41 |
| 64.62 | 15 |

Cell: 6.434 8.649 6.948 Å, 90.00 90.14 90.00°
Space group C2/m (No. 12)
Inequivalent atoms, fractional coordinates:
Pr1 0.000 0.000 0.000
Y1 0.000 0.500 0.500
Hg1 0.000 0.000 0.500
Hg2 0.250 0.250 0.244


Record 12
The following is a computed powder X-ray diffraction pattern of Pr3Y2Hg3. It was derived from a DFT-relaxed cell (GGA-PBE, Alexandria), using a wavelength of 1.5418 Å.

Top 8 peaks for 2θ = 5–70°, in order of rising 2θ:
| 2θ (°) | I (rel.) |
| --- | --- |
| 7.83 | 13 |
| 31.69 | 25 |
| 32.45 | 26 |
| 32.64 | 100 |
| 45.99 | 18 |
| 57.05 | 17 |
| 58.01 | 19 |
| 68.40 | 11 |

Cell: 3.815 5.519 22.590 Å, 90.00 90.00 90.00°
Space group Immm (No. 71)
Inequivalent atoms, fractional coordinates:
Pr1 0.000 0.000 0.000
Pr2 0.000 0.500 0.122
Y1 0.000 0.000 0.233
Hg1 0.000 0.000 0.500
Hg2 0.000 0.500 0.376


Record 13
The following is a computed powder X-ray diffraction pattern of YbPrHg2. It was derived from a DFT-relaxed cell (GGA-PBE, Alexandria), using a wavelength of 1.5418 Å.

Top 7 peaks for 2θ = 5–70°, in order of rising 2θ:
| 2θ (°) | I (rel.) |
| --- | --- |
| 23.32 | 2 |
| 33.21 | 100 |
| 40.98 | 1 |
| 47.68 | 18 |
| 53.73 | 1 |
| 59.34 | 39 |
| 69.72 | 12 |

Cell: 7.630 7.630 7.630 Å, 90.00 90.00 90.00°
Space group Fm-3m (No. 225)
Inequivalent atoms, fractional coordinates:
Yb1 0.000 0.000 0.000
Pr1 0.000 0.000 0.500
Hg1 0.250 0.250 0.250


Record 14
The following is a computed powder X-ray diffraction pattern of Pr2ZnHg6. It was derived from a DFT-relaxed cell (GGA-PBE, Alexandria), using a wavelength of 1.5418 Å.

Top 8 peaks for 2θ = 5–70°, in order of rising 2θ:
| 2θ (°) | I (rel.) |
| --- | --- |
| 28.09 | 52 |
| 34.26 | 100 |
| 35.14 | 48 |
| 36.23 | 95 |
| 40.55 | 38 |
| 41.50 | 30 |
| 58.84 | 38 |
| 65.07 | 52 |

Cell: 15.700 8.446 3.514 Å, 90.00 90.06 90.00°
Space group C2/m (No. 12)
Inequivalent atoms, fractional coordinates:
Pr1 0.197 0.000 0.000
Zn1 0.000 0.500 0.500
Hg1 0.000 0.176 0.000
Hg2 0.149 0.318 0.499